1.
Starting from the GGA-PBE geometry in OQMD, the PXRD pattern of Y2FeCoGe4 was simulated for Cu Kα, 1.54184 Å.
Intensities are scaled so that the largest is 100.

Atomic structure:
```
Y2FeCoGe4
1.0
4.1685 0.0000 0.0000
0.0000 4.1452 0.0000
0.0000 0.0000 16.6014
Y Fe Co Ge
4 2 2 8
Direct
0.0000 0.0000 0.0000
0.0000 0.5000 0.5000
0.5000 0.0000 0.2185
0.5000 0.5000 0.7185
0.5000 0.0000 0.4281
0.5000 0.5000 0.9281
0.0000 0.0000 0.7900
0.0000 0.5000 0.2900
0.0000 0.0000 0.3598
0.0000 0.0000 0.6545
0.0000 0.5000 0.1545
0.0000 0.5000 0.8598
0.5000 0.0000 0.5642
0.5000 0.0000 0.8581
0.5000 0.5000 0.0642
0.5000 0.5000 0.3581
```

Largest 6 diffraction maxima, in order of falling intensity, 2θ from 15° to 90°:
Position (°2θ)	I_rel
34.57	100.0
43.42	23.9
43.67	23.8
39.07	22.7
63.28	15.2
60.02	13.8

2.
Starting from the GGA-PBE geometry in OQMD, the PXRD pattern of Hf4FeCoP2 was simulated for Cu Kα, 1.54184 Å.
Intensities are scaled so that the largest is 100.

Atomic structure:
```
Hf4FeCoP2
1.0
5.1788 0.0000 0.0000
0.0000 3.5918 0.0000
-2.4665 0.0000 6.9450
Hf Fe Co P
4 1 1 2
Direct
0.0000 0.0000 0.0000
0.0660 0.5000 0.6435
0.5231 0.0000 0.5158
0.5920 0.5000 0.1645
0.9308 0.0000 0.3687
0.6552 0.5000 0.7958
0.1585 0.5000 0.2919
0.4330 0.0000 0.8692
```

Largest 6 diffraction maxima, in order of falling intensity, 2θ from 15° to 90°:
Position (°2θ)	I_rel
35.95	100.0
31.04	52.1
36.99	26.1
37.28	25.7
36.84	25.6
25.62	20.3

3.
Starting from the GGA-PBE geometry in OQMD, the PXRD pattern of Ho2Fe5Co12 was simulated for Cu Kα, 1.54184 Å.
Intensities are scaled so that the largest is 100.

Atomic structure:
```
Ho2Fe5Co12
1.0
8.3059 0.0000 0.0000
-4.1530 7.1931 0.0000
0.0000 0.0000 8.0843
Ho Fe Co
4 10 24
Direct
0.0000 0.0000 0.2500
0.0000 0.0000 0.7500
0.3333 0.6667 0.2500
0.6667 0.3333 0.7500
0.0000 0.5000 0.0000
0.0000 0.5000 0.5000
0.3333 0.6667 0.6068
0.3333 0.6667 0.8932
0.5000 0.0000 0.0000
0.5000 0.0000 0.5000
0.5000 0.5000 0.0000
0.5000 0.5000 0.5000
0.6667 0.3333 0.1068
0.6667 0.3333 0.3932
0.0449 0.3720 0.7500
0.0449 0.6729 0.7500
0.1640 0.3281 0.0178
0.1640 0.3281 0.4822
0.1640 0.8360 0.0178
0.1640 0.8360 0.4822
0.3271 0.3720 0.7500
0.3271 0.9551 0.7500
0.3281 0.1640 0.5178
0.3281 0.1640 0.9822
0.3720 0.0449 0.2500
0.3720 0.3271 0.2500
0.6280 0.6729 0.7500
0.6280 0.9551 0.7500
0.6719 0.8360 0.0178
0.6719 0.8360 0.4822
0.6729 0.0449 0.2500
0.6729 0.6280 0.2500
0.8360 0.1640 0.5178
0.8360 0.1640 0.9822
0.8360 0.6719 0.5178
0.8360 0.6719 0.9822
0.9551 0.3271 0.2500
0.9551 0.6280 0.2500
```

Largest 6 diffraction maxima, in order of falling intensity, 2θ from 15° to 90°:
Position (°2θ)	I_rel
43.90	100.0
43.59	59.6
30.87	41.3
37.51	40.7
41.89	34.7
44.85	31.5

4.
Starting from the GGA-PBE geometry in OQMD, the PXRD pattern of Ho2LuFe7Co2 was simulated for Cu Kα, 1.54184 Å.
Intensities are scaled so that the largest is 100.

Atomic structure:
```
Ho2LuFe7Co2
1.0
2.5044 1.4459 8.1000
-2.5044 1.4459 8.1000
0.0000 -2.8919 8.1000
Ho Lu Fe Co
2 1 7 2
Direct
0.1418 0.1418 0.1418
0.8582 0.8582 0.8582
0.0000 0.0000 0.0000
0.0821 0.5810 0.5810
0.4190 0.4190 0.9179
0.4190 0.9179 0.4190
0.5000 0.5000 0.5000
0.5810 0.0821 0.5810
0.5810 0.5810 0.0821
0.9179 0.4190 0.4190
0.3326 0.3326 0.3326
0.6674 0.6674 0.6674
```

Largest 6 diffraction maxima, in order of falling intensity, 2θ from 15° to 90°:
Position (°2θ)	I_rel
42.44	100.0
35.86	57.5
33.05	53.6
41.81	37.6
36.10	35.9
68.99	33.0

5.
Starting from the GGA-PBE geometry in OQMD, the PXRD pattern of Ho2LuFe6Co3 was simulated for Cu Kα, 1.54184 Å.
Intensities are scaled so that the largest is 100.

Atomic structure:
```
Ho2LuFe6Co3
1.0
2.5062 1.4470 8.0935
-2.5062 1.4470 8.0935
0.0000 -2.8939 8.0935
Ho Lu Fe Co
2 1 6 3
Direct
0.1419 0.1419 0.1419
0.8581 0.8581 0.8581
0.0000 0.0000 0.0000
0.0813 0.5816 0.5816
0.4184 0.4184 0.9187
0.4184 0.9187 0.4184
0.5816 0.0813 0.5816
0.5816 0.5816 0.0813
0.9187 0.4184 0.4184
0.3325 0.3325 0.3325
0.5000 0.5000 0.5000
0.6675 0.6675 0.6675
```

Largest 6 diffraction maxima, in order of falling intensity, 2θ from 15° to 90°:
Position (°2θ)	I_rel
42.42	100.0
35.83	57.6
33.06	52.1
41.78	36.8
36.11	35.9
68.92	22.5

6.
Starting from the GGA-PBE geometry in OQMD, the PXRD pattern of YHo2FeCo2Ni6 was simulated for Cu Kα, 1.54184 Å.
Intensities are scaled so that the largest is 100.

Atomic structure:
```
YHo2FeCo2Ni6
1.0
2.4820 1.4330 8.0257
-2.4820 1.4330 8.0257
0.0000 -2.8659 8.0257
Y Ho Fe Co Ni
1 2 1 2 6
Direct
0.0000 0.0000 0.0000
0.1387 0.1387 0.1387
0.8613 0.8613 0.8613
0.5000 0.5000 0.5000
0.3336 0.3336 0.3336
0.6664 0.6664 0.6664
0.0826 0.5825 0.5825
0.4175 0.4175 0.9174
0.4175 0.9174 0.4175
0.5825 0.0826 0.5825
0.5825 0.5825 0.0826
0.9174 0.4175 0.4175
```

Largest 6 diffraction maxima, in order of falling intensity, 2θ from 15° to 90°:
Position (°2θ)	I_rel
42.84	100.0
36.19	55.9
33.36	51.5
42.21	44.3
36.44	42.0
69.71	35.5

7.
Starting from the GGA-PBE geometry in OQMD, the PXRD pattern of Y2HoFe2Co6Ni was simulated for Cu Kα, 1.54184 Å.
Intensities are scaled so that the largest is 100.

Atomic structure:
```
Y2HoFe2Co6Ni
1.0
2.4908 1.4381 8.0392
-2.4908 1.4381 8.0392
0.0000 -2.8761 8.0392
Y Ho Fe Co Ni
2 1 2 6 1
Direct
0.1399 0.1399 0.1399
0.8601 0.8601 0.8601
0.0000 0.0000 0.0000
0.3339 0.3339 0.3339
0.6661 0.6661 0.6661
0.0800 0.5808 0.5808
0.4192 0.4192 0.9200
0.4192 0.9200 0.4192
0.5808 0.0800 0.5808
0.5808 0.5808 0.0800
0.9200 0.4192 0.4192
0.5000 0.5000 0.5000
```

Largest 6 diffraction maxima, in order of falling intensity, 2θ from 15° to 90°:
Position (°2θ)	I_rel
42.71	100.0
36.06	41.1
42.06	37.6
36.36	36.1
33.28	34.3
69.41	22.0

8.
Starting from the GGA-PBE geometry in OQMD, the PXRD pattern of YHo2FeCo6Ni2 was simulated for Cu Kα, 1.54184 Å.
Intensities are scaled so that the largest is 100.

Atomic structure:
```
YHo2FeCo6Ni2
1.0
2.4843 1.4343 8.0284
-2.4843 1.4343 8.0284
0.0000 -2.8686 8.0284
Y Ho Fe Co Ni
1 2 1 6 2
Direct
0.0000 0.0000 0.0000
0.1391 0.1391 0.1391
0.8609 0.8609 0.8609
0.5000 0.5000 0.5000
0.0801 0.5836 0.5836
0.4164 0.4164 0.9199
0.4164 0.9199 0.4164
0.5836 0.0801 0.5836
0.5836 0.5836 0.0801
0.9199 0.4164 0.4164
0.3337 0.3337 0.3337
0.6663 0.6663 0.6663
```

Largest 6 diffraction maxima, in order of falling intensity, 2θ from 15° to 90°:
Position (°2θ)	I_rel
42.81	100.0
36.16	57.9
33.34	48.2
42.17	40.1
36.42	39.8
46.21	25.6

9.
Starting from the GGA-PBE geometry in OQMD, the PXRD pattern of HoTm2Fe3Co6 was simulated for Cu Kα, 1.54184 Å.
Intensities are scaled so that the largest is 100.

Atomic structure:
```
HoTm2Fe3Co6
1.0
2.5166 1.4530 7.8557
-2.5166 1.4530 7.8557
0.0000 -2.9060 7.8557
Ho Tm Fe Co
1 2 3 6
Direct
0.0000 0.0000 0.0000
0.1409 0.1409 0.1409
0.8591 0.8591 0.8591
0.3339 0.3339 0.3339
0.5000 0.5000 0.5000
0.6661 0.6661 0.6661
0.0798 0.5839 0.5839
0.4161 0.4161 0.9202
0.4161 0.9202 0.4161
0.5839 0.0798 0.5839
0.5839 0.5839 0.0798
0.9202 0.4161 0.4161
```

Largest 6 diffraction maxima, in order of falling intensity, 2θ from 15° to 90°:
Position (°2θ)	I_rel
42.67	100.0
35.68	59.2
33.64	53.5
41.61	42.7
36.82	39.5
70.70	24.2

10.
Starting from the GGA-PBE geometry in OQMD, the PXRD pattern of HoTm2Fe6Co3 was simulated for Cu Kα, 1.54184 Å.
Intensities are scaled so that the largest is 100.

Atomic structure:
```
HoTm2Fe6Co3
1.0
2.5079 1.4479 8.0754
-2.5079 1.4479 8.0754
0.0000 -2.8958 8.0754
Ho Tm Fe Co
1 2 6 3
Direct
0.0000 0.0000 0.0000
0.1422 0.1422 0.1422
0.8578 0.8578 0.8578
0.0812 0.5827 0.5827
0.4173 0.4173 0.9188
0.4173 0.9188 0.4173
0.5827 0.0812 0.5827
0.5827 0.5827 0.0812
0.9188 0.4173 0.4173
0.3326 0.3326 0.3326
0.5000 0.5000 0.5000
0.6674 0.6674 0.6674
```

Largest 6 diffraction maxima, in order of falling intensity, 2θ from 15° to 90°:
Position (°2θ)	I_rel
42.43	100.0
35.81	57.9
33.10	51.6
41.76	36.3
36.16	34.4
68.89	22.5

11.
Starting from the GGA-PBE geometry in OQMD, the PXRD pattern of Ho2TmFe6Co3 was simulated for Cu Kα, 1.54184 Å.
Intensities are scaled so that the largest is 100.

Atomic structure:
```
Ho2TmFe6Co3
1.0
2.5118 1.4502 8.0926
-2.5118 1.4502 8.0926
0.0000 -2.9004 8.0926
Ho Tm Fe Co
2 1 6 3
Direct
0.1420 0.1420 0.1420
0.8580 0.8580 0.8580
0.0000 0.0000 0.0000
0.0814 0.5816 0.5816
0.4184 0.4184 0.9186
0.4184 0.9186 0.4184
0.5816 0.0814 0.5816
0.5816 0.5816 0.0814
0.9186 0.4184 0.4184
0.3327 0.3327 0.3327
0.5000 0.5000 0.5000
0.6673 0.6673 0.6673
```

Largest 6 diffraction maxima, in order of falling intensity, 2θ from 15° to 90°:
Position (°2θ)	I_rel
42.35	100.0
35.75	57.4
33.03	51.4
41.69	36.6
36.09	35.3
68.76	22.5

12.
Starting from the GGA-PBE geometry in OQMD, the PXRD pattern of Y2HoFe3Co6 was simulated for Cu Kα, 1.54184 Å.
Intensities are scaled so that the largest is 100.

Atomic structure:
```
Y2HoFe3Co6
1.0
2.5357 1.4640 7.8804
-2.5357 1.4640 7.8804
0.0000 -2.9280 7.8804
Y Ho Fe Co
2 1 3 6
Direct
0.1407 0.1407 0.1407
0.8593 0.8593 0.8593
0.0000 0.0000 0.0000
0.3331 0.3331 0.3331
0.5000 0.5000 0.5000
0.6669 0.6669 0.6669
0.0810 0.5816 0.5816
0.4184 0.4184 0.9190
0.4184 0.9190 0.4184
0.5816 0.0810 0.5816
0.5816 0.5816 0.0810
0.9190 0.4184 0.4184
```

Largest 6 diffraction maxima, in order of falling intensity, 2θ from 15° to 90°:
Position (°2θ)	I_rel
42.39	100.0
35.40	41.3
41.29	39.9
33.47	34.9
36.65	31.3
68.36	22.5